Record 1
Starting from a crystal structure in Alexandria, relaxed with PBE, the XRD peak list of RbNa2Sr2Bi2 was calculated for CuKα.

Most intense lines, 2θ from 10° to 90°, by angle:
Position (°2θ), intensity
16.3, 31
19.2, 65
21.4, 42
28.7, 100
32.2, 99
36.3, 27
43.7, 32
55.3, 33

Atomic structure:
a = 11.320 Å, b = 11.320 Å, c = 11.320 Å
α = 28.44°, β = 28.44°, γ = 28.44°
Fractional coordinates of all 7 atoms:
1 Rb 0.000 0.000 0.000
2 Na 0.411 0.411 0.411
3 Na 0.589 0.589 0.589
4 Sr 0.132 0.132 0.132
5 Sr 0.868 0.868 0.868
6 Bi 0.244 0.244 0.244
7 Bi 0.756 0.756 0.756

Record 2
Starting from a crystal structure in Alexandria, relaxed with PBE, the XRD peak list of Pb3Au was calculated for CuKα.

Most intense lines, 2θ from 10° to 90°, by angle:
Position (°2θ), intensity
29.5, 84
31.0, 48
32.6, 100
33.5, 45
37.0, 50
37.1, 45
41.5, 36
60.4, 30

Atomic structure:
a = 6.169 Å, b = 6.169 Å, c = 9.048 Å
α = 90.00°, β = 90.00°, γ = 138.74°
Fractional coordinates of all 8 atoms:
1 Pb 0.061 0.939 0.750
2 Pb 0.361 0.639 0.554
3 Pb 0.361 0.639 0.946
4 Pb 0.639 0.361 0.054
5 Pb 0.639 0.361 0.446
6 Pb 0.939 0.061 0.250
7 Au 0.248 0.752 0.250
8 Au 0.752 0.248 0.750

Record 3
Starting from a crystal structure in Alexandria, relaxed with PBE, the XRD peak list of Ca2IrN3 was calculated for CuKα.

Most intense lines, 2θ from 10° to 90°, by angle:
Position (°2θ), intensity
16.3, 71
23.3, 100
30.0, 20
32.0, 43
33.0, 100
35.1, 30
47.4, 21
57.6, 18

Atomic structure:
a = 6.115 Å, b = 6.115 Å, c = 11.933 Å
α = 90.00°, β = 90.00°, γ = 125.47°
Fractional coordinates of all 24 atoms:
1 Ca 0.048 0.952 0.851
2 Ca 0.134 0.866 0.424
3 Ca 0.366 0.634 0.924
4 Ca 0.452 0.548 0.351
5 Ca 0.548 0.452 0.649
6 Ca 0.634 0.366 0.076
7 Ca 0.866 0.134 0.576
8 Ca 0.952 0.048 0.149
9 Ir 0.249 0.751 0.652
10 Ir 0.251 0.749 0.152
11 Ir 0.749 0.251 0.848
12 Ir 0.751 0.249 0.348
13 N 0.046 0.454 0.750
14 N 0.067 0.933 0.642
15 N 0.156 0.844 0.021
16 N 0.344 0.656 0.521
17 N 0.433 0.567 0.142
18 N 0.454 0.046 0.250
19 N 0.546 0.954 0.750
20 N 0.567 0.433 0.858
21 N 0.656 0.344 0.479
22 N 0.844 0.156 0.979
23 N 0.933 0.067 0.358
24 N 0.954 0.546 0.250

Record 4
Starting from a crystal structure in Alexandria, relaxed with PBE, the XRD peak list of Sr5Se4 was calculated for CuKα.

Most intense lines, 2θ from 10° to 90°, by angle:
Position (°2θ), intensity
30.1, 100
32.0, 66
33.9, 40
42.7, 12
46.0, 18
46.2, 23
46.6, 14
58.9, 16

Atomic structure:
a = 9.161 Å, b = 9.161 Å, c = 7.793 Å
α = 90.00°, β = 90.00°, γ = 120.00°
Fractional coordinates of all 18 atoms:
1 Sr 0.000 0.252 0.250
2 Sr 0.000 0.748 0.750
3 Sr 0.252 0.000 0.250
4 Sr 0.252 0.252 0.750
5 Sr 0.333 0.667 0.000
6 Sr 0.333 0.667 0.500
7 Sr 0.667 0.333 0.000
8 Sr 0.667 0.333 0.500
9 Sr 0.748 0.000 0.750
10 Sr 0.748 0.748 0.250
11 Se 0.000 0.000 0.000
12 Se 0.000 0.000 0.500
13 Se 0.000 0.403 0.750
14 Se 0.000 0.597 0.250
15 Se 0.403 0.000 0.750
16 Se 0.403 0.403 0.250
17 Se 0.597 0.000 0.250
18 Se 0.597 0.597 0.750

Record 5
Starting from a crystal structure in Alexandria, relaxed with PBE, the XRD peak list of In4Te7Pb was calculated for CuKα.

Most intense lines, 2θ from 10° to 90°, by angle:
Position (°2θ), intensity
13.2, 59
23.4, 71
24.0, 46
24.5, 51
26.4, 100
34.6, 45
40.7, 32
44.4, 54

Atomic structure:
a = 17.743 Å, b = 7.425 Å, c = 7.252 Å
α = 90.00°, β = 90.00°, γ = 90.00°
Fractional coordinates of all 24 atoms:
1 In 0.123 0.139 0.000
2 In 0.247 0.343 0.491
3 In 0.253 0.657 0.991
4 In 0.377 0.861 0.500
5 In 0.623 0.861 0.500
6 In 0.747 0.657 0.991
7 In 0.753 0.343 0.491
8 In 0.877 0.139 0.000
9 Te 0.000 0.330 0.834
10 Te 0.105 0.220 0.376
11 Te 0.111 0.782 0.871
12 Te 0.236 0.715 0.383
13 Te 0.264 0.285 0.883
14 Te 0.389 0.218 0.371
15 Te 0.395 0.780 0.876
16 Te 0.500 0.670 0.334
17 Te 0.605 0.780 0.876
18 Te 0.611 0.218 0.371
19 Te 0.736 0.285 0.883
20 Te 0.764 0.715 0.383
21 Te 0.889 0.782 0.871
22 Te 0.895 0.220 0.376
23 Pb 0.000 0.577 0.168
24 Pb 0.500 0.423 0.668

Record 6
Starting from a crystal structure in Alexandria, relaxed with PBE, the XRD peak list of LiPaHg4 was calculated for CuKα.

Most intense lines, 2θ from 10° to 90°, by angle:
Position (°2θ), intensity
34.3, 100
34.4, 60
35.7, 44
38.8, 76
43.0, 24
58.4, 20
60.1, 17
66.4, 18

Atomic structure:
a = 5.476 Å, b = 5.476 Å, c = 8.415 Å
α = 110.58°, β = 110.58°, γ = 35.55°
Fractional coordinates of all 6 atoms:
1 Li 0.000 0.000 0.000
2 Pa 0.000 0.000 0.500
3 Hg 0.335 0.335 0.690
4 Hg 0.340 0.340 0.151
5 Hg 0.660 0.660 0.849
6 Hg 0.665 0.665 0.310